[1]
Starting from the GGA-PBE geometry in Alexandria, the X-ray powder pattern of Ac2U3Se8 was calculated for Cu Ka.
Peak positions follow from Bragg's law for the DFT cell and can differ from measured ones.

Atomic structure:
abc: 10.0492 14.7383 5.0132
angles: 90.00 90.00 90.00
Space group Cmmm (No. 65)
One atom of each set of equivalent atoms:
Ac 0.0000 0.2353 0.0000 (multiplicity 4)
U 0.0000 0.5000 0.0000 (multiplicity 2)
U 0.2355 0.0000 0.5000 (multiplicity 4)
Se 0.0000 0.1166 0.5000 (multiplicity 4)
Se 0.0000 0.3895 0.5000 (multiplicity 4)
Se 0.2370 0.3842 0.0000 (multiplicity 8)

Most intense lines, 5 to 70 degrees two-theta, by angle:
d = 4.148 Å, 2θ = 21.42°, I 510; d = 2.556 Å, 2θ = 35.11°, I 1000; d = 2.509 Å, 2θ = 35.78°, I 498; d = 2.147 Å, 2θ = 42.08°, I 176; d = 1.774 Å, 2θ = 51.50°, I 173; d = 1.457 Å, 2θ = 63.91°, I 179

***

[2]
Starting from the GGA-PBE geometry in Alexandria, the X-ray powder pattern of AcU6Se8 was calculated for Cu Ka.
Peak positions follow from Bragg's law for the DFT cell and can differ from measured ones.

Atomic structure:
abc: 10.9686 10.9686 11.9919
angles: 90.00 90.00 120.00
Space group R-3 (No. 148, hexagonal axes)
One atom of each set of equivalent atoms:
Ac 0.0000 0.0000 0.0000 (multiplicity 3)
U 0.0777 0.8649 0.4364 (multiplicity 18)
Se 0.0000 0.0000 0.2679 (multiplicity 6)
Se 0.0027 0.3029 0.0464 (multiplicity 18)

Most intense lines, 5 to 70 degrees two-theta, by angle:
d = 7.446 Å, 2θ = 11.89°, I 1000; d = 5.070 Å, 2θ = 17.49°, I 543; d = 3.080 Å, 2θ = 28.99°, I 620; d = 2.573 Å, 2θ = 34.87°, I 546; d = 2.482 Å, 2θ = 36.19°, I 822; d = 2.301 Å, 2θ = 39.15°, I 458